No. 1
Structure and calculated powder X-ray diffraction pattern of Li2Ti6O13 (a structure optimized by DFT (PBE); a wavelength of 1.5418 Å).
Kinematic intensities with the Lorentz-polarization factor, no thermal factor.

Most intense lines, 15° ≤ 2θ ≤ 90°, by angle:
index  Position (°2θ)  I/Imax
1 1 0  24.2  100
3 1 0  29.4  43
2 0 -3  29.8  46
3 1 -1  30.0  33
4 0 2  33.0  39
4 0 -4  42.7  38
6 0 2  43.4  36
0 2 0  48.0  41
5 1 -4  51.8  18
7 1 2  55.1  26
7 1 -4  58.7  17
4 2 -4  66.2  16

Lattice parameters (Å, degrees): 15.5350 3.7894 9.2330 90.00 99.59 90.00
Space group C2/m (No. 12)
Inequivalent atoms, fractional coordinates:
Li  0.0500  0.0000  0.2538 x4
Ti  0.1148  0.0000  0.5955 x4
Ti  0.1679  0.0000  0.9353 x4
Ti  0.2308  0.0000  0.2720 x4
O  0.0000  0.0000  0.5000 x2
O  0.0738  0.0000  0.7889 x4
O  0.1307  0.0000  0.1128 x4
O  0.1454  0.5000  0.6122 x4
O  0.1609  0.0000  0.4067 x4
O  0.2038  0.5000  0.9269 x4
O  0.2380  0.0000  0.7419 x4

---

No. 2
Structure and calculated powder X-ray diffraction pattern of MgMo2S4 (a structure optimized by DFT (PBE); a wavelength of 1.5418 Å).
Kinematic intensities with the Lorentz-polarization factor, no thermal factor.

Most intense lines, 15° ≤ 2θ ≤ 90°, by angle:
index  Position (°2θ)  I/Imax
0 0 4  20.8  25
1 1 0  32.2  49
1 1 1  32.7  17
2 0 -2  33.9  35
1 1 -3  36.0  81
1 1 4  38.7  13
1 1 5  41.9  100
1 1 -7  49.7  47
0 2 0  57.5  33
3 1 -2  58.6  25
4 0 -3  69.7  11
2 2 5  73.6  15

Lattice parameters (Å, degrees): 5.5530 3.2062 17.1022 90.00 90.11 90.00
Space group Cm (No. 8)
Inequivalent atoms, fractional coordinates:
Mg  0.0000  0.0000  0.0000 x2
Mo  0.3231  0.0000  0.7475 x2
Mo  0.4902  0.5000  0.2647 x2
S  0.3232  0.0000  0.1733 x2
S  0.3244  0.0000  0.3557 x2
S  0.4893  0.5000  0.6567 x2
S  0.4904  0.5000  0.8389 x2

---

No. 3
Structure and calculated powder X-ray diffraction pattern of CeInPt4 (a structure optimized by DFT (PBE); a wavelength of 1.5418 Å).
Kinematic intensities with the Lorentz-polarization factor, no thermal factor.

Most intense lines, 15° ≤ 2θ ≤ 90°, by angle:
index  Position (°2θ)  I/Imax
1 1 1  20.0  22
2 2 0  33.0  16
3 1 1  38.9  100
2 2 2  40.7  54
4 0 0  47.3  12
3 3 1  51.9  6
4 2 2  58.9  6
5 1 1  62.9  33
4 4 0  69.2  30
5 3 1  72.9  4
5 3 3  82.3  12
6 2 2  83.5  21

Lattice parameters (Å, degrees): 7.6799 7.6799 7.6799 90.00 90.00 90.00
Space group F-43m (No. 216)
Inequivalent atoms, fractional coordinates:
Ce  0.0000  0.0000  0.0000 x4
In  0.2500  0.2500  0.2500 x4
Pt  0.1245  0.1245  0.6245 x16

---

No. 4
Structure and calculated powder X-ray diffraction pattern of PrTiO3 (a structure optimized by DFT (PBE); a wavelength of 1.5418 Å).
Kinematic intensities with the Lorentz-polarization factor, no thermal factor.

Most intense lines, 15° ≤ 2θ ≤ 90°, by angle:
index  Position (°2θ)  I/Imax
1 0 0  22.5  23
1 1 0  32.1  100
1 1 1  39.6  26
2 0 0  46.0  33
2 1 0  51.8  12
2 1 1  57.2  38
2 2 0  67.1  20
3 0 0  71.8  6
3 1 0  76.4  16
3 1 1  80.8  8
2 2 2  85.3  7
3 2 0  89.6  3

Lattice parameters (Å, degrees): 3.9432 3.9432 3.9432 90.00 90.00 90.00
Space group Pm-3m (No. 221)
Inequivalent atoms, fractional coordinates:
Pr  0.0000  0.0000  0.0000 x1
Ti  0.5000  0.5000  0.5000 x1
O  0.0000  0.5000  0.5000 x3

---

No. 5
Structure and calculated powder X-ray diffraction pattern of Np3Te4 (a structure optimized by DFT (PBE); a wavelength of 1.5418 Å).
Kinematic intensities with the Lorentz-polarization factor, no thermal factor.

Most intense lines, 15° ≤ 2θ ≤ 90°, by angle:
index  Position (°2θ)  I/Imax
2 1 1  23.4  28
3 1 0  30.3  100
3 2 1  36.1  69
4 2 0  43.4  26
3 3 2  45.7  17
4 2 2  47.8  12
4 3 1  49.9  19
6 1 1  61.3  34
6 2 0  63.1  10
5 4 1  64.8  16
4 4 4  69.9  7
5 5 2  74.9  21

Lattice parameters (Å, degrees): 9.3210 9.3210 9.3210 90.00 90.00 90.00
Space group I-43d (No. 220)
Inequivalent atoms, fractional coordinates:
Np  0.0000  0.2500  0.3750 x12
Te  0.0760  0.0760  0.0760 x16

---

No. 6
Structure and calculated powder X-ray diffraction pattern of Cs3In3P4O16 (a structure optimized by DFT (PBE); a wavelength of 1.5418 Å).
Kinematic intensities with the Lorentz-polarization factor, no thermal factor.

Most intense lines, 15° ≤ 2θ ≤ 90°, by angle:
index  Position (°2θ)  I/Imax
0 0 2  17.6  29
3 1 1  20.4  58
0 2 2  24.8  30
3 1 -2  25.1  40
2 2 2  27.2  26
5 1 0  28.1  61
1 3 1  28.2  100
1 1 3  28.6  69
4 2 -1  28.8  57
2 2 4  41.6  32
2 4 -3  45.8  25
6 4 1  49.5  27

Lattice parameters (Å, degrees): 16.7013 10.2059 10.1047 90.00 91.49 90.00
Space group C2/c (No. 15)
Inequivalent atoms, fractional coordinates:
Cs  0.1123  0.0561  0.1855 x8
Cs  0.2500  0.2500  0.5000 x4
In  0.0000  0.4164  0.2500 x4
In  0.1466  0.3186  0.8309 x8
P  0.0105  0.2844  0.5613 x8
P  0.1994  0.4162  0.1449 x8
O  0.0297  0.4166  0.8864 x8
O  0.0365  0.2903  0.4156 x8
O  0.0596  0.1832  0.9248 x8
O  0.0853  0.2488  0.6464 x8
O  0.1172  0.3645  0.1865 x8
O  0.2073  0.4200  0.9918 x8
O  0.2141  0.4443  0.7024 x8
O  0.2338  0.1730  0.7941 x8

---

No. 7
Structure and calculated powder X-ray diffraction pattern of SrSeO3 (a structure optimized by DFT (PBE); a wavelength of 1.5418 Å).
Kinematic intensities with the Lorentz-polarization factor, no thermal factor.

Most intense lines, 15° ≤ 2θ ≤ 90°, by angle:
index  Position (°2θ)  I/Imax
1 1 0  26.3  55
1 1 -1  26.5  100
0 0 2  27.9  37
0 2 0  32.0  45
0 1 2  32.2  79
1 1 1  32.8  26
1 1 -2  33.4  36
2 0 -1  40.1  44
1 2 1  43.4  33
2 1 1  51.8  19
2 2 -1  52.2  24
2 1 -3  52.9  21

Lattice parameters (Å, degrees): 4.4931 5.5951 6.7408 90.00 108.15 90.00
Space group P2_1/m (No. 11)
Inequivalent atoms, fractional coordinates:
Sr  0.1540  0.2500  0.3044 x2
Se  0.4354  0.2500  0.8421 x2
O  0.1632  0.7500  0.1011 x2
O  0.3268  0.0112  0.6704 x4

---

No. 8
Structure and calculated powder X-ray diffraction pattern of TmCuGe (a structure optimized by DFT (PBE); a wavelength of 1.5418 Å).
Kinematic intensities with the Lorentz-polarization factor, no thermal factor.

Most intense lines, 15° ≤ 2θ ≤ 90°, by angle:
index  Position (°2θ)  I/Imax
1 0 0  24.4  20
1 0 1  35.0  100
1 1 0  43.0  48
2 0 0  50.1  3
0 0 2  50.5  10
2 0 1  56.6  25
1 0 2  56.9  4
1 1 2  68.5  23
2 1 1  73.6  23
3 0 0  78.8  8
1 0 3  84.8  8
2 1 2  89.5  3

Lattice parameters (Å, degrees): 4.2061 4.2061 3.6121 90.00 90.00 120.00
Space group P-6m2 (No. 187)
Inequivalent atoms, fractional coordinates:
Tm  0.0000  0.0000  0.0000 x1
Cu  0.3333  0.6667  0.5000 x1
Ge  0.6667  0.3333  0.5000 x1

---

No. 9
Structure and calculated powder X-ray diffraction pattern of PaMn2Ga (a structure optimized by DFT (PBE); a wavelength of 1.5418 Å).
Kinematic intensities with the Lorentz-polarization factor, no thermal factor.

Most intense lines, 15° ≤ 2θ ≤ 90°, by angle:
index  Position (°2θ)  I/Imax
1 1 1  24.4  33
2 0 0  28.2  26
2 2 0  40.4  100
3 1 1  47.7  18
2 2 2  50.0  8
4 0 0  58.4  17
3 3 1  64.2  8
4 2 0  66.1  11
4 2 2  73.4  33
5 1 1  78.7  6
4 4 0  87.3  11

Lattice parameters (Å, degrees): 6.3192 6.3192 6.3192 90.00 90.00 90.00
Space group Fm-3m (No. 225)
Inequivalent atoms, fractional coordinates:
Pa  0.0000  0.0000  0.0000 x4
Mn  0.2500  0.2500  0.2500 x8
Ga  0.0000  0.0000  0.5000 x4

---

No. 10
Structure and calculated powder X-ray diffraction pattern of CeCo2 (a structure optimized by DFT (PBE); a wavelength of 1.5418 Å).
Kinematic intensities with the Lorentz-polarization factor, no thermal factor.

Most intense lines, 15° ≤ 2θ ≤ 90°, by angle:
index  Position (°2θ)  I/Imax
1 1 1  21.8  9
2 2 0  35.9  60
3 1 1  42.4  100
2 2 2  44.4  17
3 3 1  56.8  2
4 2 2  64.6  22
5 1 1  69.0  30
4 4 0  76.2  22
5 3 1  80.4  2
6 2 0  87.2  10

Lattice parameters (Å, degrees): 7.0692 7.0692 7.0692 90.00 90.00 90.00
Space group Fd-3m (No. 227, origin choice 2)
Inequivalent atoms, fractional coordinates:
Ce  0.1250  0.1250  0.1250 x8
Co  0.0000  0.0000  0.5000 x16

---

No. 11
Structure and calculated powder X-ray diffraction pattern of AuI (a structure optimized by DFT (PBE); a wavelength of 1.5418 Å).
Kinematic intensities with the Lorentz-polarization factor, no thermal factor.

Most intense lines, 15° ≤ 2θ ≤ 90°, by angle:
index  Position (°2θ)  I/Imax
1 0 2  22.7  68
1 1 0  27.4  22
1 1 1  28.0  100
1 1 3  32.8  67
0 0 6  35.9  22
1 1 5  40.9  37
2 0 2  41.0  56
2 1 2  45.7  23
2 0 4  46.3  67
1 1 7  51.0  20
2 2 0  56.5  23
3 1 1  64.3  20

Lattice parameters (Å, degrees): 4.6053 4.6053 15.0092 90.00 90.00 90.00
Space group P4_2/ncm (No. 138, origin choice 2)
Inequivalent atoms, fractional coordinates:
Au  0.0000  0.0000  0.0000 x4
I  0.2500  0.2500  0.1373 x4

---

No. 12
Structure and calculated powder X-ray diffraction pattern of KH2N (a structure optimized by DFT (PBE); a wavelength of 1.5418 Å).
Kinematic intensities with the Lorentz-polarization factor, no thermal factor.

Most intense lines, 15° ≤ 2θ ≤ 90°, by angle:
index  Position (°2θ)  I/Imax
1 0 -1  22.9  10
1 0 1  25.1  16
0 1 1  27.3  23
0 0 2  28.5  36
1 1 0  30.4  100
1 1 -1  32.8  13
1 0 -2  33.1  17
0 1 2  37.1  19
2 0 0  39.1  22
1 1 -2  40.8  18
1 1 2  43.5  28
0 2 0  47.6  11

Lattice parameters (Å, degrees): 4.6250 3.8241 6.2832 90.00 95.46 90.00
Space group P2_1/m (No. 11)
Inequivalent atoms, fractional coordinates:
K  0.2238  0.2500  0.3134 x2
H  0.2969  0.0428  0.8686 x4
N  0.2725  0.2500  0.7631 x2

---

Q: Which formula does entry 7 have?
A: SrSeO3